Record 1
This entry pairs a crystal structure of NbIrS2Cl with its computed powder XRD pattern. Radiation: Cu Ka. Structure: a DFT-relaxed cell (GGA-PBE, Alexandria).
No peak broadening, texture or thermal motion is included.

Cell and atoms:
```
data_NbIrS2Cl
_chemical_formula_sum 'Nb1 Ir1 S2 Cl1'
_cell_length_a 4.687
_cell_length_b 4.687
_cell_length_c 4.603
_cell_angle_alpha 90.00
_cell_angle_beta 90.00
_cell_angle_gamma 90.00
_space_group_name_H-M_alt 'P 1'
_space_group_IT_number 1
_space_group_name_Hall 'P 1'
loop_
_atom_site_label
_atom_site_type_symbol
_atom_site_fract_x
_atom_site_fract_y
_atom_site_fract_z
_atom_site_occupancy
Nb1 Nb 0.000 0.000 0.000 1
Ir1 Ir 0.500 0.500 0.500 1
S1 S 0.000 0.500 0.500 1
S2 S 0.500 0.000 0.500 1
Cl1 Cl 0.500 0.500 0.000 1
```

Main lines, by angle (2θ = 10–90°):
d 4.687, 2θ 18.94, I = 32.3; d 3.314, 2θ 26.90, I = 53.5; d 3.284, 2θ 27.15, I = 100.0; d 2.343, 2θ 38.41, I = 48.2; d 1.907, 2θ 47.68, I = 44.6; d 1.642, 2θ 56.01, I = 31.2

***

Record 2
This entry pairs a crystal structure of AcSmCu4 with its computed powder XRD pattern. Radiation: Cu Ka. Structure: a DFT-relaxed cell (GGA-PBE, Alexandria).
No peak broadening, texture or thermal motion is included.

Cell and atoms:
```
data_AcSmCu4
_chemical_formula_sum 'Ac1 Sm1 Cu4'
_cell_length_a 8.265
_cell_length_b 8.265
_cell_length_c 8.265
_cell_angle_alpha 151.56
_cell_angle_beta 151.56
_cell_angle_gamma 40.66
_space_group_name_H-M_alt 'P 1'
_space_group_IT_number 1
_space_group_name_Hall 'P 1'
loop_
_atom_site_label
_atom_site_type_symbol
_atom_site_fract_x
_atom_site_fract_y
_atom_site_fract_z
_atom_site_occupancy
Ac1 Ac 0.000 0.000 0.000 1
Sm1 Sm 0.250 0.750 0.500 1
Cu1 Cu 0.415 0.415 0.000 1
Cu2 Cu 0.585 0.585 0.000 1
Cu3 Cu 0.672 0.172 0.500 1
Cu4 Cu 0.828 0.328 0.500 1
```

Main lines, by angle (2θ = 10–90°):
d 3.193, 2θ 27.94, I = 40.5; d 2.693, 2θ 33.27, I = 100.0; d 2.464, 2θ 36.46, I = 54.4; d 2.031, 2θ 44.63, I = 34.9; d 1.944, 2θ 46.73, I = 28.1; d 1.567, 2θ 58.94, I = 26.5

***

- Number 1 is which compound?
  NbIrS2Cl

***

Please write out number 2 again, unchanged.
This entry pairs a crystal structure of AcSmCu4 with its computed powder XRD pattern. Radiation: Cu Ka. Structure: a DFT-relaxed cell (GGA-PBE, Alexandria).
No peak broadening, texture or thermal motion is included.

Cell and atoms:
```
data_AcSmCu4
_chemical_formula_sum 'Ac1 Sm1 Cu4'
_cell_length_a 8.265
_cell_length_b 8.265
_cell_length_c 8.265
_cell_angle_alpha 151.56
_cell_angle_beta 151.56
_cell_angle_gamma 40.66
_space_group_name_H-M_alt 'P 1'
_space_group_IT_number 1
_space_group_name_Hall 'P 1'
loop_
_atom_site_label
_atom_site_type_symbol
_atom_site_fract_x
_atom_site_fract_y
_atom_site_fract_z
_atom_site_occupancy
Ac1 Ac 0.000 0.000 0.000 1
Sm1 Sm 0.250 0.750 0.500 1
Cu1 Cu 0.415 0.415 0.000 1
Cu2 Cu 0.585 0.585 0.000 1
Cu3 Cu 0.672 0.172 0.500 1
Cu4 Cu 0.828 0.328 0.500 1
```

Main lines, by angle (2θ = 10–90°):
d 3.193, 2θ 27.94, I = 40.5; d 2.693, 2θ 33.27, I = 100.0; d 2.464, 2θ 36.46, I = 54.4; d 2.031, 2θ 44.63, I = 34.9; d 1.944, 2θ 46.73, I = 28.1; d 1.567, 2θ 58.94, I = 26.5